(1)
Diffraction record for LiAl. The powder X-ray diffraction pattern is simulated, not measured: it uses a cell relaxed with PBE and λ = 1.5418 Å (Cu Kα).
No peak broadening, texture or thermal motion is included.

Most intense lines, 10° ≤ 2θ ≤ 80°, low angle first:
d/Å  2θ (°)  I_rel
4.302  20.6  100.0
3.529  25.2  53.1
2.877  31.1  21.5
2.304  39.1  45.3
2.234  40.4  81.8
2.151  42.0  14.0
1.983  45.8  65.2
1.604  57.5  14.5
1.550  59.7  29.1
1.303  72.6  14.2
1.235  77.2  13.8
1.207  79.4  21.7

Structure:
Cell: 4.4680 4.4680 8.6041 Å, 90.00 90.00 120.00°
Space group P6_3/mmc (No. 194)
Inequivalent atoms, fractional coordinates:
Li1 0.3333 0.6667 0.0836
Al1 0.0000 0.0000 0.2500
Al2 0.3333 0.6667 0.7500



(2)
Diffraction record for KBa4Ti5O14F. The powder X-ray diffraction pattern is simulated, not measured: it uses a cell relaxed with PBE and λ = 1.5418 Å (Cu Kα).
No peak broadening, texture or thermal motion is included.

Most intense lines, 10° ≤ 2θ ≤ 80°, low angle first:
d/Å  2θ (°)  I_rel
4.009  22.2  12.2
2.855  31.3  100.0
2.835  31.6  50.1
2.325  38.7  36.4
2.033  44.6  19.1
2.004  45.2  36.8
1.652  55.6  19.4
1.640  56.1  37.4
1.427  65.4  21.8
1.417  65.9  10.7
1.284  73.8  8.1
1.268  74.9  8.2

Structure:
Cell: 4.009 4.009 20.331 Å, 90.00 90.00 90.00°
Space group P4/mmm (No. 123)
Inequivalent atoms, fractional coordinates:
K1 0.000 0.000 0.000
Ba1 0.000 0.000 0.198
Ba2 0.000 0.000 0.400
Ti1 0.500 0.500 0.104
Ti2 0.500 0.500 0.301
Ti3 0.500 0.500 0.500
O1 0.000 0.500 0.101
O2 0.000 0.500 0.300
O3 0.000 0.500 0.500
O4 0.500 0.500 0.200
O5 0.500 0.500 0.400
F1 0.500 0.500 0.000



(3)
Diffraction record for Pu3In. The powder X-ray diffraction pattern is simulated, not measured: it uses a cell relaxed with PBE and λ = 1.5418 Å (Cu Kα).
No peak broadening, texture or thermal motion is included.

Most intense lines, 10° ≤ 2θ ≤ 80°, low angle first:
d/Å  2θ (°)  I_rel
4.346  20.4  5.9
3.073  29.1  5.1
2.509  35.8  100.0
2.173  41.6  50.0
1.944  46.7  3.1
1.774  51.5  2.4
1.537  60.2  34.2
1.449  64.3  1.6
1.374  68.2  1.1
1.311  72.1  40.5
1.255  75.8  11.8
1.205  79.5  0.7

Structure:
Cell: 4.346 4.346 4.346 Å, 90.00 90.00 90.00°
Space group Pm-3m (No. 221)
Inequivalent atoms, fractional coordinates:
Pu1 0.000 0.000 0.500
In1 0.500 0.500 0.500